Calculated powder XRD pattern of CeTe2O6 for Cu Kα (λ = 1.5418 Å), from a crystal structure in the Materials Project, relaxed with GGA-PBE.

```
CeTe2O6
1.0
7.1265 0.0000 0.0000
0.0000 11.3302 0.0000
-4.8994 0.0000 7.0783
Ce Te O
4 8 24
Cartesian
-0.7420 1.0355 3.5286
-3.1917 4.6295 7.0678
5.4188 6.7006 0.0105
2.9690 10.2946 3.5497
-3.0448 0.9226 6.7900
-0.5951 4.7425 3.2509
1.8772 8.1987 0.4892
-0.5725 8.7966 4.0283
2.7996 2.5336 3.0499
0.3499 3.1315 6.5891
2.8221 6.5877 3.8274
5.2718 10.4076 0.2882
-0.8461 0.2494 1.4445
-3.2958 5.4157 4.9836
-3.8527 2.5412 6.1993
-1.4030 3.1239 2.6601
0.6031 6.7710 0.2818
-1.8466 10.2243 3.8209
-1.4125 1.1044 5.7867
1.0372 4.5607 2.2476
1.7388 8.4611 2.3711
-0.7109 8.5342 5.9102
1.5142 1.1155 2.8988
-0.9355 4.5496 6.4379
3.1626 6.7806 0.6404
0.7128 10.2147 4.1795
2.9379 2.7960 1.1681
0.4882 2.8691 4.7072
1.1898 6.7694 4.8307
3.6396 10.2258 1.2916
4.0736 1.1059 3.2574
1.6239 4.5592 6.7965
3.6300 8.2063 4.4182
6.0797 8.7890 0.8790
5.5228 5.9145 2.0947
3.0731 11.0808 5.6338
```

Largest 12 diffraction maxima, sorted by position, 2θ from 5° to 70°:
d 3.539, 2θ 25.2, intensity 50
d 3.399, 2θ 26.2, intensity 63
d 3.378, 2θ 26.4, intensity 19
d 3.174, 2θ 28.1, intensity 100
d 2.930, 2θ 30.5, intensity 25
d 2.838, 2θ 31.5, intensity 51
d 2.150, 2θ 42.0, intensity 14
d 2.067, 2θ 43.8, intensity 20
d 2.011, 2θ 45.1, intensity 36
d 1.888, 2θ 48.2, intensity 12
d 1.762, 2θ 51.9, intensity 16
d 1.750, 2θ 52.3, intensity 13

---

Calculated powder XRD pattern of Ce4ThO10 for Cu Kα (λ = 1.5418 Å), from a crystal structure in the Materials Project, relaxed with GGA-PBE.

```
Ce4ThO10
1.0
15.9082 -1.9455 0.0000
15.9082 1.9455 0.0000
-0.4736 0.0000 6.7192
Ce Th O
8 2 20
Cartesian
0.0000 0.0000 0.0000
2.8506 0.0000 4.7028
6.1933 0.0000 2.6938
9.4854 0.0000 0.6757
15.6714 0.0000 3.3596
21.8574 0.0000 6.0435
25.1496 0.0000 4.0254
28.4922 0.0000 2.0163
12.3429 0.0000 5.3740
18.9999 0.0000 1.3451
0.4730 0.0000 4.5298
2.3601 0.0000 0.1422
3.8193 0.0000 2.5473
5.2371 0.0000 4.8747
7.1263 0.0000 0.5038
8.5432 0.0000 2.8547
9.9366 0.0000 5.2056
11.8512 0.0000 0.8637
13.3119 0.0000 3.1677
14.7493 0.0000 5.5411
16.5936 0.0000 1.1781
18.0309 0.0000 3.5514
19.4916 0.0000 5.8555
21.4062 0.0000 1.5136
22.7997 0.0000 3.8645
24.2166 0.0000 6.2154
26.1058 0.0000 1.8445
27.5236 0.0000 4.1718
28.9828 0.0000 6.5770
30.8699 0.0000 2.1894
```

Largest 12 diffraction maxima, sorted by position, 2θ from 5° to 70°:
d 15.869, 2θ 5.6, intensity 1
d 7.934, 2θ 11.2, intensity 1
d 6.350, 2θ 13.9, intensity 1
d 6.037, 2θ 14.7, intensity 1
d 5.292, 2θ 16.8, intensity 1
d 3.317, 2θ 26.9, intensity 1
d 3.175, 2θ 28.1, intensity 100
d 2.750, 2θ 32.6, intensity 31
d 1.945, 2θ 46.7, intensity 53
d 1.658, 2θ 55.4, intensity 46
d 1.588, 2θ 58.1, intensity 9
d 1.375, 2θ 68.2, intensity 8

---

Calculated powder XRD pattern of CeTh2O6 for Cu Kα (λ = 1.5418 Å), from a crystal structure in the Materials Project, relaxed with GGA-PBE.

```
CeTh2O6
1.0
-1.9702 2.7834 5.9026
1.9702 -2.7834 5.9026
1.9702 2.7834 -5.9026
Ce Th O
1 2 6
Cartesian
0.0000 0.0000 0.0000
0.0000 0.0000 3.9512
0.0000 0.0000 7.8539
1.9702 -1.4076 3.9557
1.9702 1.3673 0.0000
0.0000 1.3758 1.9469
1.9702 1.4076 3.9557
0.0000 1.4161 5.9026
0.0000 4.1910 1.9469
```

Largest 12 diffraction maxima, sorted by position, 2θ from 5° to 70°:
d 5.903, 2θ 15.0, intensity 2
d 5.035, 2θ 17.6, intensity 3
d 3.738, 2θ 23.8, intensity 2
d 3.215, 2θ 27.8, intensity 100
d 2.824, 2θ 31.7, intensity 1
d 2.784, 2θ 32.2, intensity 35
d 2.232, 2θ 40.4, intensity 1
d 2.174, 2θ 41.5, intensity 1
d 1.969, 2θ 46.1, intensity 51
d 1.679, 2θ 54.7, intensity 47
d 1.607, 2θ 57.3, intensity 10
d 1.392, 2θ 67.3, intensity 8

---

Calculated powder XRD pattern of Ce4ThO8 for Cu Kα (λ = 1.5418 Å), from a crystal structure in the Materials Project, relaxed with GGA-PBE.

```
Ce4ThO8
1.0
-1.9612 1.9813 13.9004
1.9612 -1.9813 13.9004
1.9612 1.9813 -13.9004
Ce Th O
4 1 8
Cartesian
0.0000 0.0000 2.6986
0.0000 0.0000 8.2463
0.0000 0.0000 19.5545
0.0000 0.0000 25.1022
0.0000 0.0000 13.9004
1.9612 0.0000 1.4783
1.9612 0.0000 6.7216
1.9612 0.0000 9.6866
1.9612 0.0000 12.5448
0.0000 1.9813 1.3556
0.0000 1.9813 4.2138
0.0000 1.9813 7.1788
0.0000 1.9813 12.4221
```

Largest 12 diffraction maxima, sorted by position, 2θ from 5° to 70°:
d 13.900, 2θ 6.4, intensity 18
d 3.227, 2θ 27.6, intensity 100
d 3.205, 2θ 27.8, intensity 99
d 2.788, 2θ 32.1, intensity 47
d 2.780, 2θ 32.2, intensity 23
d 1.981, 2θ 45.8, intensity 17
d 1.969, 2θ 46.1, intensity 65
d 1.961, 2θ 46.3, intensity 17
d 1.685, 2θ 54.4, intensity 31
d 1.679, 2θ 54.7, intensity 15
d 1.676, 2θ 54.8, intensity 44
d 1.394, 2θ 67.2, intensity 11

---

Calculated powder XRD pattern of Ce2ThO6 for Cu Kα (λ = 1.5418 Å), from a crystal structure in the Materials Project, relaxed with GGA-PBE.

```
Ce2ThO6
1.0
-1.9532 2.7607 5.8547
1.9532 -2.7607 5.8547
1.9532 2.7607 -5.8547
Ce Th O
2 1 6
Cartesian
0.0000 0.0000 1.9614
0.0000 0.0000 9.7481
0.0000 0.0000 5.8547
1.9532 1.3687 -1.9710
0.0000 1.3569 0.0000
1.9532 1.3687 1.9710
0.0000 1.3920 3.8837
0.0000 4.1645 0.0000
0.0000 1.3920 7.8257
```

Largest 12 diffraction maxima, sorted by position, 2θ from 5° to 70°:
d 5.855, 2θ 15.1, intensity 2
d 4.994, 2θ 17.8, intensity 4
d 3.706, 2θ 24.0, intensity 2
d 3.188, 2θ 28.0, intensity 100
d 2.801, 2θ 32.0, intensity 2
d 2.761, 2θ 32.4, intensity 32
d 2.214, 2θ 40.8, intensity 1
d 2.156, 2θ 41.9, intensity 2
d 1.952, 2θ 46.5, intensity 53
d 1.665, 2θ 55.2, intensity 46
d 1.594, 2θ 57.8, intensity 9
d 1.380, 2θ 67.9, intensity 8

---

Calculated powder XRD pattern of Ce2ThO6 for Cu Kα (λ = 1.5418 Å), from a crystal structure in the Materials Project, relaxed with GGA-PBE.

```
Ce2ThO6
1.0
3.9069 0.0000 0.0000
-1.9534 3.3835 0.0000
0.0000 0.0000 9.5401
Ce Th O
2 1 6
Cartesian
0.0000 2.2556 1.5534
1.9534 1.1278 7.9867
0.0000 0.0000 4.7701
0.0000 0.0000 2.3342
0.0000 0.0000 7.2059
0.0000 2.2556 3.9379
0.0000 2.2556 8.7567
1.9534 1.1278 0.7834
1.9534 1.1278 5.6022
```

Largest 12 diffraction maxima, sorted by position, 2θ from 5° to 70°:
d 9.540, 2θ 9.3, intensity 6
d 4.770, 2θ 18.6, intensity 2
d 3.383, 2θ 26.3, intensity 2
d 3.187, 2θ 28.0, intensity 100
d 2.760, 2θ 32.4, intensity 33
d 1.953, 2θ 46.5, intensity 26
d 1.949, 2θ 46.6, intensity 27
d 1.665, 2θ 55.2, intensity 34
d 1.662, 2θ 55.3, intensity 11
d 1.594, 2θ 57.8, intensity 7
d 1.590, 2θ 58.0, intensity 2
d 1.380, 2θ 67.9, intensity 8

---

Calculated powder XRD pattern of Ce4ThO10 for Cu Kα (λ = 1.5418 Å), from a crystal structure in the Materials Project, relaxed with GGA-PBE.

```
Ce4ThO10
1.0
-1.9427 1.9427 13.7295
1.9427 -1.9427 13.7295
1.9427 1.9427 -13.7295
Ce Th O
4 1 10
Cartesian
0.0000 0.0000 2.7874
0.0000 0.0000 8.2236
0.0000 0.0000 19.2354
0.0000 0.0000 24.6715
0.0000 0.0000 13.7295
1.9427 0.0000 1.4176
1.9427 0.0000 4.1465
1.9427 0.0000 6.8647
1.9427 0.0000 9.5830
1.9427 0.0000 12.3118
0.0000 1.9427 1.4176
0.0000 1.9427 4.1465
0.0000 1.9427 6.8647
0.0000 1.9427 9.5830
0.0000 1.9427 12.3118
```

Largest 12 diffraction maxima, sorted by position, 2θ from 5° to 70°:
d 13.729, 2θ 6.4, intensity 5
d 6.865, 2θ 12.9, intensity 1
d 4.576, 2θ 19.4, intensity 1
d 3.847, 2θ 23.1, intensity 2
d 3.577, 2θ 24.9, intensity 2
d 3.172, 2θ 28.1, intensity 100
d 2.747, 2θ 32.6, intensity 31
d 2.145, 2θ 42.1, intensity 1
d 1.942, 2θ 46.8, intensity 53
d 1.656, 2θ 55.5, intensity 45
d 1.586, 2θ 58.2, intensity 9
d 1.373, 2θ 68.3, intensity 8

---

Calculated powder XRD pattern of Ce4ThO9 for Cu Kα (λ = 1.5418 Å), from a crystal structure in the Materials Project, relaxed with GGA-PBE.

```
Ce4ThO9
1.0
-4.3755 4.3755 2.8037
4.3755 -4.3755 2.8037
4.3755 4.3755 -2.8037
Ce Th O
4 1 9
Cartesian
3.4121 1.8446 -0.1383
2.5309 -0.9634 2.9420
1.8446 5.3389 0.1383
0.9634 2.5309 2.6654
0.0000 0.0000 0.0000
5.1704 2.7004 -1.3673
2.3982 3.5471 -1.4278
1.9772 0.8284 1.3759
-0.7950 1.6751 1.4364
5.2038 2.3982 1.4278
2.7004 3.5805 1.3673
0.0000 4.3755 1.4018
1.6751 0.7950 4.1709
-0.8284 1.9772 4.2314
```

Largest 12 diffraction maxima, sorted by position, 2θ from 5° to 70°:
d 6.188, 2θ 14.3, intensity 6
d 4.721, 2θ 18.8, intensity 4
d 3.209, 2θ 27.8, intensity 100
d 2.804, 2θ 31.9, intensity 11
d 2.767, 2θ 32.4, intensity 22
d 2.588, 2θ 34.7, intensity 3
d 1.970, 2θ 46.1, intensity 33
d 1.957, 2θ 46.4, intensity 17
d 1.687, 2θ 54.4, intensity 14
d 1.671, 2θ 55.0, intensity 29
d 1.605, 2θ 57.4, intensity 10
d 1.384, 2θ 67.7, intensity 5